# 1
Diffraction record for SbICl8. The PXRD pattern is computed, not measured: it uses a structure optimized by DFT (GGA-PBE) and Cu Kα X-rays.
Peak positions follow from Bragg's law for the DFT cell and can differ from measured ones.

Principal peaks in the range 2θ = 5–70°, by angle:
2theta, I_rel
11.92, 78
13.88, 32
16.00, 100
18.34, 28
20.00, 58
21.46, 39
24.59, 28
30.01, 29
32.37, 31
34.57, 29

Crystal structure
Cell: 7.424 7.424 24.943 Å, 90.00 90.00 90.00°
Fractional positions:
Sb 0.005 0.229 0.000
Sb 0.229 0.995 0.750
Sb 0.771 0.005 0.250
Sb 0.995 0.771 0.500
I 0.138 0.765 0.121
I 0.235 0.138 0.371
I 0.765 0.862 0.871
I 0.862 0.235 0.621
Cl 0.052 0.812 0.693
Cl 0.063 0.910 0.295
Cl 0.073 0.496 0.952
Cl 0.090 0.063 0.545
Cl 0.165 0.259 0.686
Cl 0.188 0.052 0.943
Cl 0.217 0.624 0.553
Cl 0.221 0.390 0.313
Cl 0.236 0.269 0.064
Cl 0.259 0.835 0.436
Cl 0.269 0.764 0.814
Cl 0.292 0.586 0.185
Cl 0.376 0.217 0.803
Cl 0.390 0.779 0.063
Cl 0.414 0.292 0.435
Cl 0.496 0.927 0.702
Cl 0.504 0.073 0.202
Cl 0.586 0.708 0.935
Cl 0.610 0.221 0.563
Cl 0.624 0.783 0.303
Cl 0.708 0.414 0.685
Cl 0.731 0.236 0.314
Cl 0.741 0.165 0.936
Cl 0.764 0.731 0.564
Cl 0.779 0.610 0.813
Cl 0.783 0.376 0.053
Cl 0.812 0.948 0.443
Cl 0.835 0.741 0.186
Cl 0.910 0.937 0.045
Cl 0.927 0.504 0.452
Cl 0.937 0.090 0.795
Cl 0.948 0.188 0.193



# 2
Diffraction record for Te3WICl6. The PXRD pattern is computed, not measured: it uses a structure optimized by DFT (GGA-PBE) and Cu Kα X-rays.
Peak positions follow from Bragg's law for the DFT cell and can differ from measured ones.

Principal peaks in the range 2θ = 5–70°, by angle:
2theta, I_rel
8.03, 33
15.47, 31
16.11, 30
17.11, 47
22.67, 100
24.73, 27
26.01, 21
26.58, 20
36.66, 25
45.05, 28

Crystal structure
Cell: 11.853 11.006 12.041 Å, 90.00 111.68 90.00°
Fractional positions:
Te 0.011 0.010 0.282
Te 0.011 0.490 0.782
Te 0.060 0.210 0.452
Te 0.060 0.290 0.952
Te 0.112 0.688 0.956
Te 0.112 0.812 0.456
Te 0.888 0.188 0.544
Te 0.888 0.312 0.044
Te 0.940 0.710 0.048
Te 0.940 0.790 0.548
Te 0.989 0.510 0.218
Te 0.989 0.990 0.718
W 0.361 0.005 0.214
W 0.361 0.495 0.714
W 0.639 0.505 0.286
W 0.639 0.995 0.786
I 0.227 0.030 0.760
I 0.227 0.470 0.260
I 0.773 0.530 0.740
I 0.773 0.970 0.240
Cl 0.163 0.505 0.563
Cl 0.163 0.995 0.063
Cl 0.274 0.122 0.332
Cl 0.274 0.378 0.832
Cl 0.309 0.670 0.796
Cl 0.309 0.830 0.296
Cl 0.391 0.180 0.124
Cl 0.391 0.320 0.624
Cl 0.442 0.614 0.604
Cl 0.442 0.886 0.104
Cl 0.454 0.518 0.131
Cl 0.454 0.982 0.631
Cl 0.546 0.018 0.369
Cl 0.546 0.482 0.869
Cl 0.558 0.114 0.896
Cl 0.558 0.386 0.396
Cl 0.609 0.680 0.376
Cl 0.609 0.820 0.876
Cl 0.691 0.170 0.704
Cl 0.691 0.330 0.204
Cl 0.726 0.622 0.168
Cl 0.726 0.878 0.668
Cl 0.837 0.005 0.937
Cl 0.837 0.495 0.437



# 3
Diffraction record for KInCl3. The PXRD pattern is computed, not measured: it uses a structure optimized by DFT (GGA-PBE) and Cu Kα X-rays.
Peak positions follow from Bragg's law for the DFT cell and can differ from measured ones.

Principal peaks in the range 2θ = 5–70°, by angle:
2theta, I_rel
16.05, 97
22.77, 100
32.42, 92
36.38, 47
39.99, 43
46.51, 60
49.52, 23
52.39, 23
57.84, 19
62.98, 24

Crystal structure
Cell: 7.810 7.810 7.810 Å, 60.00 60.00 60.00°
Fractional positions:
K 0.250 0.250 0.250
K 0.750 0.750 0.750
In 0.000 0.000 0.000
In 0.500 0.500 0.500
Cl 0.232 0.232 0.768
Cl 0.232 0.768 0.232
Cl 0.232 0.768 0.768
Cl 0.768 0.232 0.232
Cl 0.768 0.232 0.768
Cl 0.768 0.768 0.232



# 4
Diffraction record for K2LiInCl6. The PXRD pattern is computed, not measured: it uses a structure optimized by DFT (GGA-PBE) and Cu Kα X-rays.
Peak positions follow from Bragg's law for the DFT cell and can differ from measured ones.

Principal peaks in the range 2θ = 5–70°, by angle:
2theta, I_rel
15.00, 80
17.34, 44
24.61, 50
28.95, 47
30.26, 37
35.09, 100
38.35, 21
39.39, 21
43.33, 22
50.46, 63

Crystal structure
Cell: 7.234 7.234 7.234 Å, 60.00 60.00 60.00°
Fractional positions:
K 0.250 0.250 0.250
K 0.750 0.750 0.750
Li 0.000 0.000 0.000
In 0.500 0.500 0.500
Cl 0.252 0.252 0.748
Cl 0.252 0.748 0.252
Cl 0.252 0.748 0.748
Cl 0.748 0.252 0.252
Cl 0.748 0.252 0.748
Cl 0.748 0.748 0.252